For Na3BS3, DFT lattice parameters and positions (GGA-PBE) gives the theoretical powder diffractogram in this record (Cu Ka).
Peak positions follow from Bragg's law for the DFT cell and can differ from measured ones.

Cell and atoms:
```
data_Na3BS3
_space_group_name_H-M_alt 'P 1'
_space_group_IT_number 1
_space_group_name_Hall 'P 1'
_cell_length_a 6.831
_cell_length_b 6.831
_cell_length_c 8.450
_cell_angle_alpha 114.18
_cell_angle_beta 114.18
_cell_angle_gamma 58.70
loop_
_atom_site_label
_atom_site_type_symbol
_atom_site_fract_x
_atom_site_fract_y
_atom_site_fract_z
Na1 Na 0.000 0.500 0.500
Na2 Na 0.118 0.688 0.996
Na3 Na 0.312 0.882 0.504
Na4 Na 0.500 0.000 0.000
Na5 Na 0.688 0.118 0.496
Na6 Na 0.882 0.312 0.004
B1 B 0.422 0.578 0.750
B2 B 0.578 0.422 0.250
S1 S 0.144 0.856 0.750
S2 S 0.307 0.423 0.247
S3 S 0.423 0.307 0.747
S4 S 0.577 0.693 0.253
S5 S 0.693 0.577 0.753
S6 S 0.856 0.144 0.250
```

The 10 most intense peaks (2θ = 10–90°), by angle:
d/Å, intensity
5.648, 14.1
3.552, 14.5
3.105, 52.1
3.055, 30.1
2.519, 100.0
2.491, 44.2
2.183, 20.0
2.010, 15.3
1.946, 25.7
1.865, 20.7

=====

For Ta12Ga3Te8Se16, DFT lattice parameters and positions (GGA-PBE) gives the theoretical powder diffractogram in this record (Cu Ka).
Peak positions follow from Bragg's law for the DFT cell and can differ from measured ones.

Cell and atoms:
```
data_Ta12Ga3Te8Se16
_space_group_name_H-M_alt 'P 1'
_space_group_IT_number 1
_space_group_name_Hall 'P 1'
_cell_length_a 7.628
_cell_length_b 7.715
_cell_length_c 18.788
_cell_angle_alpha 89.38
_cell_angle_beta 89.99
_cell_angle_gamma 60.43
loop_
_atom_site_label
_atom_site_type_symbol
_atom_site_fract_x
_atom_site_fract_y
_atom_site_fract_z
Ta1 Ta 0.000 0.000 0.000
Ta2 Ta 0.016 0.588 0.995
Ta3 Ta 0.204 0.210 0.801
Ta4 Ta 0.285 0.667 0.334
Ta5 Ta 0.336 0.327 0.670
Ta6 Ta 0.353 0.926 0.664
Ta7 Ta 0.543 0.541 0.465
Ta8 Ta 0.618 0.001 0.001
Ta9 Ta 0.670 0.660 0.335
Ta10 Ta 0.688 0.258 0.330
Ta11 Ta 0.875 0.874 0.130
Ta12 Ta 0.951 0.335 0.669
Ga1 Ga 0.196 0.190 0.203
Ga2 Ga 0.554 0.512 0.873
Ga3 Ga 0.863 0.857 0.537
Te1 Te 0.029 0.560 0.245
Te2 Te 0.210 0.193 0.064
Te3 Te 0.239 0.678 0.580
Te4 Te 0.364 0.890 0.913
Te5 Te 0.546 0.525 0.733
Te6 Te 0.572 0.012 0.245
Te7 Te 0.694 0.226 0.580
Te8 Te 0.878 0.859 0.398
Se1 Se 0.026 0.009 0.246
Se2 Se 0.029 0.560 0.746
Se3 Se 0.046 0.020 0.743
Se4 Se 0.212 0.193 0.568
Se5 Se 0.226 0.684 0.074
Se6 Se 0.363 0.343 0.913
Se7 Se 0.364 0.892 0.412
Se8 Se 0.381 0.352 0.409
Se9 Se 0.545 0.526 0.234
Se10 Se 0.558 0.018 0.747
Se11 Se 0.693 0.676 0.580
Se12 Se 0.696 0.228 0.078
Se13 Se 0.712 0.685 0.075
Se14 Se 0.878 0.860 0.900
Se15 Se 0.896 0.349 0.411
Se16 Se 0.912 0.342 0.913
```

The 10 most intense peaks (2θ = 10–90°), by angle:
d/Å, intensity
6.344, 20.3
6.262, 22.0
6.241, 40.2
5.431, 17.1
3.272, 20.7
2.716, 100.0
2.210, 20.6
2.082, 20.3
1.929, 25.1
1.911, 22.7

=====

For YH2, DFT lattice parameters and positions (GGA-PBE) gives the theoretical powder diffractogram in this record (Cu Ka).
Peak positions follow from Bragg's law for the DFT cell and can differ from measured ones.

Cell and atoms:
```
data_YH2
_space_group_name_H-M_alt 'P 1'
_space_group_IT_number 1
_space_group_name_Hall 'P 1'
_cell_length_a 5.213
_cell_length_b 5.213
_cell_length_c 5.213
_cell_angle_alpha 90.00
_cell_angle_beta 90.00
_cell_angle_gamma 90.00
loop_
_atom_site_label
_atom_site_type_symbol
_atom_site_fract_x
_atom_site_fract_y
_atom_site_fract_z
Y1 Y 0.000 0.000 0.000
Y2 Y 0.000 0.500 0.500
Y3 Y 0.500 0.000 0.500
Y4 Y 0.500 0.500 0.000
H1 H 0.250 0.250 0.250
H2 H 0.250 0.250 0.750
H3 H 0.250 0.750 0.250
H4 H 0.250 0.750 0.750
H5 H 0.750 0.250 0.250
H6 H 0.750 0.250 0.750
H7 H 0.750 0.750 0.250
H8 H 0.750 0.750 0.750
```

The 8 most intense peaks (2θ = 10–90°), by angle:
d/Å, intensity
3.010, 100.0
2.607, 46.9
1.843, 36.5
1.572, 41.0
1.505, 11.4
1.303, 5.5
1.196, 16.1
1.166, 14.6

=====

For NaRh2O4, DFT lattice parameters and positions (GGA-PBE) gives the theoretical powder diffractogram in this record (Cu Ka).
Peak positions follow from Bragg's law for the DFT cell and can differ from measured ones.

Cell and atoms:
```
data_NaRh2O4
_space_group_name_H-M_alt 'P 1'
_space_group_IT_number 1
_space_group_name_Hall 'P 1'
_cell_length_a 9.102
_cell_length_b 3.101
_cell_length_c 10.902
_cell_angle_alpha 90.00
_cell_angle_beta 90.00
_cell_angle_gamma 90.00
loop_
_atom_site_label
_atom_site_type_symbol
_atom_site_fract_x
_atom_site_fract_y
_atom_site_fract_z
Na1 Na 0.237 0.250 0.157
Na2 Na 0.263 0.750 0.657
Na3 Na 0.737 0.250 0.343
Na4 Na 0.763 0.750 0.843
Rh1 Rh 0.057 0.250 0.384
Rh2 Rh 0.086 0.250 0.897
Rh3 Rh 0.414 0.750 0.397
Rh4 Rh 0.443 0.750 0.884
Rh5 Rh 0.557 0.250 0.116
Rh6 Rh 0.586 0.250 0.603
Rh7 Rh 0.914 0.750 0.103
Rh8 Rh 0.943 0.750 0.616
O1 O 0.033 0.750 0.787
O2 O 0.082 0.250 0.570
O3 O 0.116 0.750 0.020
O4 O 0.197 0.750 0.340
O5 O 0.303 0.250 0.840
O6 O 0.384 0.250 0.520
O7 O 0.418 0.750 0.070
O8 O 0.467 0.250 0.287
O9 O 0.533 0.750 0.713
O10 O 0.582 0.250 0.930
O11 O 0.616 0.750 0.480
O12 O 0.697 0.750 0.160
O13 O 0.803 0.250 0.660
O14 O 0.884 0.250 0.980
O15 O 0.918 0.750 0.430
O16 O 0.967 0.250 0.213
```

The 10 most intense peaks (2θ = 10–90°), by angle:
d/Å, intensity
4.677, 48.5
4.551, 57.3
2.726, 43.3
2.651, 77.5
2.585, 100.0
2.563, 40.2
1.867, 37.5
1.835, 26.1
1.545, 20.4
1.522, 25.9